The following is a calculated XRD peak list of Li2V5O10. It was derived from a PBE+U-relaxed structure, using Cu Kα (weighted mean of Kα1 and Kα2).
Kinematic intensities with the Lorentz-polarization factor, no thermal factor.

Crystal structure
Lattice parameters (Å, degrees): 5.125 5.201 7.747 76.40 78.05 77.42
Space group P1 (No. 1)
Inequivalent atoms, fractional coordinates:
Li  0.000  0.000  0.000 x1
Li  0.081  0.579  0.795 x1
V  0.037  0.795  0.400 x1
V  0.502  0.107  0.288 x1
V  0.522  0.927  0.712 x1
V  0.557  0.657  0.082 x1
V  0.581  0.488  0.502 x1
O  0.274  0.991  0.181 x1
O  0.318  0.726  0.909 x1
O  0.322  0.851  0.526 x1
O  0.332  0.472  0.326 x1
O  0.371  0.268  0.713 x1
O  0.713  0.310  0.084 x1
O  0.739  0.118  0.455 x1
O  0.758  0.860  0.893 x1
O  0.762  0.753  0.260 x1
O  0.812  0.621  0.618 x1

Principal peaks in the range 10 to 90 degrees two-theta, low angle first:
| 2θ (°) | I_rel | h k l |
| --- | --- | --- |
| 11.92 | 76 | 0 0 1 |
| 17.83 | 43 | 0 1 0 |
| 17.98 | 100 | 1 0 0 |
| 22.74 | 25 | 1 1 1 |
| 26.95 | 26 | 0 1 2 |
| 27.59 | 30 | 1 0 2 |
| 29.94 | 19 | -1 1 1 |
| 37.18 | 12 | 1 1 3 |
| 38.07 | 59 | 1 1 -2 |
| 44.11 | 42 | -1 2 1 |
| 45.61 | 40 | 2 1 3 |
| 59.49 | 20 | 0 3 -1 |